The following is a simulated XRD peak list of Cs4Pu3PaS12. It was derived from a GGA-PBE-relaxed structure, using Cu Kα X-rays.
Peak positions follow from Bragg's law for the DFT cell and can differ from measured ones.

Main lines, sorted by position (2θ from 15° to 90°):
2θ (°)	I (rel.)	h k l
16.8	19	2 0 0
23.9	100	2 2 0
34.0	41	4 0 0
42.0	47	4 2 2
48.9	29	4 4 0
55.1	22	6 2 0
66.4	25	6 4 2
81.7	13	8 4 0

Atomic structure:
```
data_Cs4Pu3PaS12
_chemical_formula_sum 'Cs8 Pu6 Pa2 S24'
_cell_length_a 10.5399
_cell_length_b 10.5399
_cell_length_c 10.5399
_cell_angle_alpha 90.00
_cell_angle_beta 90.00
_cell_angle_gamma 90.00
_space_group_name_H-M_alt 'I m -3 m'
_space_group_IT_number 229
_space_group_name_Hall '-I 4 2 3'
loop_
_atom_site_label
_atom_site_fract_x
_atom_site_fract_y
_atom_site_fract_z
Cs1 0.2500 0.2500 0.2500
Pu1 0.0000 0.0000 0.5000
Pa1 0.0000 0.0000 0.0000
S1 0.0000 0.0000 0.2496
S2 0.0000 0.2500 0.5000
```